Entry 1:
The following is a simulated powder X-ray diffraction pattern of TcAg4Cl. It was derived from a crystal structure in Alexandria, relaxed with PBE, using copper Kα.
Neutral-atom scattering factors, no anomalous dispersion.

Structural model:
```
TcAg4Cl
1.0
0.0000 3.9169 3.9169
3.9169 0.0000 3.9169
3.9169 3.9169 0.0000
Tc Ag Cl
1 4 1
Direct
0.0000 0.0000 0.0000
0.1243 0.6252 0.6252
0.6252 0.1243 0.6252
0.6252 0.6252 0.1243
0.6252 0.6252 0.6252
0.2500 0.2500 0.2500
```

Main lines, by angle (2θ from 10° to 80°):
| Position (°2θ) | d (Å) | I_rel |
| --- | --- | --- |
| 19.6 | 4.523 | 31.2 |
| 32.3 | 2.770 | 14.0 |
| 38.1 | 2.362 | 100.0 |
| 39.9 | 2.261 | 57.5 |
| 46.4 | 1.958 | 13.1 |
| 50.8 | 1.797 | 7.5 |
| 61.5 | 1.508 | 30.5 |
| 67.7 | 1.385 | 27.7 |

Entry 2:
The following is a simulated powder X-ray diffraction pattern of Ag7Te2Cl3. It was derived from a crystal structure in Alexandria, relaxed with PBE, using copper Kα.
Neutral-atom scattering factors, no anomalous dispersion.

Structural model:
```
Ag7Te2Cl3
1.0
12.6274 -3.3570 0.0000
12.6274 3.3570 0.0000
0.0000 0.0000 6.9932
Ag Te Cl
14 4 6
Direct
0.0988 0.1749 0.3522
0.1641 0.4593 0.2960
0.1749 0.0988 0.8522
0.2068 0.6385 0.1732
0.2232 0.7768 0.5000
0.3615 0.7932 0.1732
0.4593 0.1641 0.7960
0.5407 0.8359 0.2960
0.6385 0.2068 0.6732
0.7768 0.2232 0.0000
0.7932 0.3615 0.6732
0.8251 0.9012 0.3522
0.8359 0.5407 0.7960
0.9012 0.8251 0.8522
0.1938 0.5945 0.5610
0.4055 0.8062 0.5610
0.5945 0.1938 0.0610
0.8062 0.4055 0.0610
0.0631 0.5027 0.9456
0.2019 0.7981 0.9556
0.4973 0.9369 0.9456
0.5027 0.0631 0.4456
0.7981 0.2019 0.4556
0.9369 0.4973 0.4456
```

Main lines, by angle (2θ from 10° to 80°):
| Position (°2θ) | d (Å) | I_rel |
| --- | --- | --- |
| 14.0 | 6.314 | 100.0 |
| 18.7 | 4.757 | 79.1 |
| 26.4 | 3.370 | 60.3 |
| 28.1 | 3.178 | 53.9 |
| 30.9 | 2.893 | 71.6 |
| 33.3 | 2.690 | 59.4 |
| 41.1 | 2.194 | 55.2 |
| 44.9 | 2.018 | 63.4 |

Entry 3:
The following is a simulated powder X-ray diffraction pattern of AgTe3Cl. It was derived from a crystal structure in Alexandria, relaxed with PBE, using copper Kα.
Neutral-atom scattering factors, no anomalous dispersion.

Structural model:
```
AgTe3Cl
1.0
7.3282 0.0000 0.0000
0.0000 5.6886 0.0000
-0.0089 0.0000 7.5633
Ag Te Cl
2 6 2
Direct
0.2501 0.0000 0.0103
0.7499 0.5000 0.9897
0.0024 0.7651 0.7791
0.2501 0.6232 0.2815
0.4972 0.7650 0.7790
0.5028 0.2650 0.2210
0.7499 0.1232 0.7185
0.9976 0.2651 0.2209
0.2498 0.3475 0.7594
0.7502 0.8475 0.2406
```

Main lines, by angle (2θ from 10° to 80°):
| Position (°2θ) | d (Å) | I_rel |
| --- | --- | --- |
| 11.7 | 7.563 | 36.5 |
| 19.5 | 4.546 | 28.4 |
| 23.0 | 3.863 | 28.9 |
| 23.5 | 3.782 | 29.9 |
| 30.9 | 2.893 | 39.4 |
| 31.4 | 2.853 | 100.0 |
| 40.1 | 2.247 | 27.9 |
| 46.6 | 1.951 | 25.4 |

Entry 4:
The following is a simulated powder X-ray diffraction pattern of Ag3TeCl3. It was derived from a crystal structure in Alexandria, relaxed with PBE, using copper Kα.
Neutral-atom scattering factors, no anomalous dispersion.

Structural model:
```
Ag3TeCl3
1.0
7.5203 0.0000 0.0000
0.0000 13.1631 0.0000
-4.4524 0.0000 7.0335
Ag Te Cl
12 4 12
Direct
0.2137 0.1475 0.0206
0.2137 0.3525 0.5206
0.2486 0.7491 0.5709
0.2486 0.7509 0.0709
0.2614 0.0359 0.4640
0.2614 0.4641 0.9640
0.7386 0.5359 0.0360
0.7386 0.9641 0.5360
0.7514 0.2491 0.9291
0.7514 0.2509 0.4291
0.7863 0.6475 0.4794
0.7863 0.8525 0.9794
0.0739 0.5535 0.3957
0.0739 0.9465 0.8957
0.9261 0.0535 0.1043
0.9261 0.4465 0.6043
0.1525 0.1952 0.6766
0.1525 0.3048 0.1766
0.3824 0.5678 0.2716
0.3824 0.9322 0.7716
0.4274 0.6671 0.9064
0.4274 0.8329 0.4064
0.5726 0.1671 0.5936
0.5726 0.3329 0.0936
0.6176 0.0678 0.2284
0.6176 0.4322 0.7284
0.8475 0.6952 0.8234
0.8475 0.8048 0.3234
```

Main lines, by angle (2θ from 10° to 80°):
| Position (°2θ) | d (Å) | I_rel |
| --- | --- | --- |
| 14.5 | 6.106 | 45.2 |
| 25.3 | 3.517 | 100.0 |
| 25.9 | 3.447 | 47.8 |
| 30.1 | 2.970 | 54.2 |
| 31.4 | 2.847 | 53.6 |
| 37.8 | 2.379 | 50.3 |
| 43.3 | 2.092 | 71.4 |
| 47.7 | 1.908 | 40.2 |

Entry 5:
The following is a simulated powder X-ray diffraction pattern of Ag12Te5Cl2. It was derived from a crystal structure in Alexandria, relaxed with PBE, using copper Kα.
Neutral-atom scattering factors, no anomalous dispersion.

Structural model:
```
Ag12Te5Cl2
1.0
7.5636 -4.0713 0.0000
7.5636 4.0713 0.0000
-4.8297 0.0000 7.6524
Ag Te Cl
12 5 2
Direct
0.0139 0.0139 0.2329
0.0171 0.3673 0.6195
0.0960 0.6647 0.9385
0.3353 0.9040 0.0615
0.3673 0.0171 0.6195
0.4155 0.4155 0.2166
0.5845 0.5845 0.7834
0.6327 0.9829 0.3805
0.6647 0.0960 0.9385
0.9040 0.3353 0.0615
0.9829 0.6327 0.3805
0.9861 0.9861 0.7671
0.2019 0.2019 0.9070
0.2244 0.2244 0.3742
0.5000 0.5000 0.0000
0.7756 0.7756 0.6258
0.7981 0.7981 0.0930
0.2938 0.7062 0.5000
0.7062 0.2938 0.5000
```

Main lines, by angle (2θ from 10° to 80°):
| Position (°2θ) | d (Å) | I_rel |
| --- | --- | --- |
| 23.6 | 3.777 | 34.2 |
| 29.6 | 3.022 | 100.0 |
| 31.9 | 2.805 | 32.5 |
| 33.4 | 2.681 | 40.3 |
| 35.7 | 2.515 | 36.8 |
| 39.1 | 2.304 | 56.9 |
| 41.4 | 2.180 | 48.6 |
| 43.6 | 2.076 | 44.1 |

Entry 6:
The following is a simulated powder X-ray diffraction pattern of AgTe2Cl. It was derived from a crystal structure in Alexandria, relaxed with PBE, using copper Kα.
Neutral-atom scattering factors, no anomalous dispersion.

Structural model:
```
AgTe2Cl
1.0
8.7857 0.0000 0.0000
0.0000 5.3528 0.0000
-6.0076 0.0000 11.1457
Ag Te Cl
4 8 4
Direct
0.1892 0.1120 0.2575
0.1892 0.3880 0.7575
0.8108 0.6120 0.2425
0.8108 0.8880 0.7425
0.2753 0.0214 0.6400
0.2753 0.4786 0.1400
0.4429 0.7424 0.3602
0.4429 0.7576 0.8602
0.5571 0.2424 0.1398
0.5571 0.2576 0.6398
0.7247 0.5214 0.8600
0.7247 0.9786 0.3600
0.0642 0.2027 0.8884
0.0642 0.2973 0.3884
0.9358 0.7027 0.6116
0.9358 0.7973 0.1116
```

Main lines, by angle (2θ from 10° to 80°):
| Position (°2θ) | d (Å) | I_rel |
| --- | --- | --- |
| 15.9 | 5.573 | 100.0 |
| 23.0 | 3.862 | 44.6 |
| 26.4 | 3.375 | 77.5 |
| 26.9 | 3.314 | 59.5 |
| 28.5 | 3.136 | 65.3 |
| 29.0 | 3.074 | 90.5 |
| 29.4 | 3.040 | 53.0 |
| 41.0 | 2.201 | 45.4 |

Entry 7:
The following is a simulated powder X-ray diffraction pattern of Tl2Ag2Te2Cl. It was derived from a crystal structure in Alexandria, relaxed with PBE, using copper Kα.
Neutral-atom scattering factors, no anomalous dispersion.

Structural model:
```
Tl2Ag2Te2Cl
1.0
6.7442 -2.3074 0.0000
6.7442 2.3074 0.0000
-3.3762 0.0000 6.8827
Tl Ag Te Cl
2 2 2 1
Direct
0.0412 0.0412 0.3044
0.9588 0.9588 0.6956
0.2615 0.2615 0.9084
0.7385 0.7385 0.0916
0.2904 0.2904 0.3097
0.7096 0.7096 0.6903
0.5000 0.5000 0.0000
```

Main lines, by angle (2θ from 10° to 80°):
| Position (°2θ) | d (Å) | I_rel |
| --- | --- | --- |
| 20.6 | 4.312 | 34.8 |
| 26.0 | 3.421 | 35.3 |
| 26.4 | 3.372 | 46.9 |
| 29.4 | 3.034 | 76.2 |
| 29.5 | 3.027 | 35.6 |
| 30.6 | 2.923 | 100.0 |
| 39.0 | 2.307 | 40.0 |
| 47.7 | 1.905 | 39.5 |

Entry 8:
The following is a simulated powder X-ray diffraction pattern of ThAg3Cl9. It was derived from a crystal structure in Alexandria, relaxed with PBE, using copper Kα.
Neutral-atom scattering factors, no anomalous dispersion.

Structural model:
```
ThAg3Cl9
1.0
9.1313 -3.7224 0.0000
9.1313 3.7224 0.0000
-6.5953 0.0000 12.7576
Th Ag Cl
2 6 18
Direct
0.1106 0.8894 0.5000
0.8894 0.1106 0.0000
0.0918 0.4612 0.1690
0.3432 0.6554 0.7672
0.4612 0.0918 0.6690
0.6554 0.3432 0.2672
0.6568 0.9093 0.0046
0.9093 0.6568 0.5046
0.0802 0.5936 0.3838
0.1240 0.1637 0.6357
0.1587 0.7498 0.8929
0.1637 0.1240 0.1357
0.2845 0.4227 0.6486
0.3039 0.7623 0.3628
0.4227 0.2845 0.1486
0.4231 0.8655 0.8854
0.4473 0.6240 0.6218
0.5936 0.0802 0.8838
0.6240 0.4473 0.1218
0.7150 0.7385 0.6108
0.7385 0.7150 0.1108
0.7498 0.1587 0.3929
0.7623 0.3039 0.8628
0.8655 0.4231 0.3854
0.8945 0.9485 0.6090
0.9485 0.8945 0.1090
```

Main lines, by angle (2θ from 10° to 80°):
| Position (°2θ) | d (Å) | I_rel |
| --- | --- | --- |
| 10.9 | 8.111 | 30.6 |
| 13.1 | 6.756 | 29.5 |
| 13.6 | 6.517 | 100.0 |
| 17.2 | 5.161 | 69.5 |
| 21.9 | 4.056 | 42.2 |
| 24.9 | 3.576 | 42.1 |
| 27.8 | 3.212 | 30.3 |
| 44.5 | 2.035 | 33.0 |

Entry 9:
The following is a simulated powder X-ray diffraction pattern of ThAg2Cl6. It was derived from a crystal structure in Alexandria, relaxed with PBE, using copper Kα.
Neutral-atom scattering factors, no anomalous dispersion.

Structural model:
```
ThAg2Cl6
1.0
3.5707 2.0615 6.5014
-3.5707 2.0615 6.5014
0.0000 -4.1231 6.5014
Th Ag Cl
1 2 6
Direct
0.0000 0.0000 0.0000
0.5867 0.5867 0.5867
0.7446 0.7446 0.7446
0.0917 0.7625 0.3833
0.2163 0.6114 0.9208
0.3833 0.0917 0.7625
0.6114 0.9208 0.2163
0.7625 0.3833 0.0917
0.9208 0.2163 0.6114
```

Main lines, by angle (2θ from 10° to 80°):
| Position (°2θ) | d (Å) | I_rel |
| --- | --- | --- |
| 13.6 | 6.501 | 52.4 |
| 15.0 | 5.895 | 100.0 |
| 17.0 | 5.223 | 64.4 |
| 23.2 | 3.829 | 53.7 |
| 24.9 | 3.571 | 73.5 |
| 27.0 | 3.299 | 56.2 |
| 28.5 | 3.130 | 83.2 |
| 43.9 | 2.062 | 56.7 |

Entry 10:
The following is a simulated powder X-ray diffraction pattern of ThAg3Cl8. It was derived from a crystal structure in Alexandria, relaxed with PBE, using copper Kα.
Neutral-atom scattering factors, no anomalous dispersion.

Structural model:
```
ThAg3Cl8
1.0
6.8353 -4.0217 0.0000
6.8353 4.0217 0.0000
-4.4019 0.0000 6.5350
Th Ag Cl
1 3 8
Direct
0.0000 0.0000 0.0000
0.0000 0.5000 0.5000
0.5000 0.0000 0.5000
0.5000 0.5000 0.0000
0.2340 0.7610 0.2416
0.2388 0.2388 0.2323
0.2390 0.7660 0.7584
0.2780 0.2780 0.7249
0.7220 0.7220 0.2751
0.7610 0.2340 0.2416
0.7612 0.7612 0.7677
0.7660 0.2390 0.7584
```

Main lines, by angle (2θ from 10° to 80°):
| Position (°2θ) | d (Å) | I_rel |
| --- | --- | --- |
| 13.8 | 6.406 | 100.0 |
| 26.0 | 3.429 | 56.6 |
| 31.6 | 2.835 | 26.5 |
| 31.8 | 2.814 | 52.2 |
| 34.7 | 2.587 | 14.7 |
| 42.0 | 2.151 | 14.0 |
| 45.1 | 2.012 | 28.9 |
| 45.8 | 1.982 | 16.2 |

Entry 11:
The following is a simulated powder X-ray diffraction pattern of TiAgCl5. It was derived from a crystal structure in Alexandria, relaxed with PBE, using copper Kα.
Neutral-atom scattering factors, no anomalous dispersion.

Structural model:
```
TiAgCl5
1.0
6.5340 0.0000 0.0000
-1.8851 9.2087 0.0000
-2.2959 -4.6121 8.7218
Ti Ag Cl
2 2 10
Direct
0.0998 0.3566 0.2069
0.9002 0.6434 0.7931
0.0000 0.0000 0.5000
0.5000 0.0000 0.5000
0.0711 0.5898 0.3592
0.2303 0.8238 0.9293
0.2676 0.3950 0.0552
0.2916 0.2658 0.3433
0.3485 0.1011 0.6974
0.6515 0.8989 0.3026
0.7084 0.7342 0.6567
0.7324 0.6050 0.9448
0.7697 0.1762 0.0707
0.9289 0.4102 0.6408
```

Main lines, by angle (2θ from 10° to 80°):
| Position (°2θ) | d (Å) | I_rel |
| --- | --- | --- |
| 10.1 | 8.722 | 42.9 |
| 10.9 | 8.144 | 40.5 |
| 18.0 | 4.916 | 100.0 |
| 18.3 | 4.848 | 28.7 |
| 19.3 | 4.604 | 46.6 |
| 21.1 | 4.220 | 35.1 |
| 26.4 | 3.380 | 28.0 |
| 29.5 | 3.023 | 34.2 |

Entry 12:
The following is a simulated powder X-ray diffraction pattern of TiAgCl4. It was derived from a crystal structure in Alexandria, relaxed with PBE, using copper Kα.
Neutral-atom scattering factors, no anomalous dispersion.

Structural model:
```
TiAgCl4
1.0
6.3763 0.0000 0.0000
0.0000 3.5639 0.0000
-0.1253 0.0000 7.1865
Ti Ag Cl
1 1 4
Direct
0.0000 0.0000 0.0000
0.0000 0.5000 0.5000
0.1968 0.0000 0.7179
0.2307 0.5000 0.1262
0.7693 0.5000 0.8738
0.8032 0.0000 0.2821
```

Main lines, by angle (2θ from 10° to 80°):
| Position (°2θ) | d (Å) | I_rel |
| --- | --- | --- |
| 13.9 | 6.375 | 100.0 |
| 28.3 | 3.154 | 27.0 |
| 31.4 | 2.846 | 51.4 |
| 37.4 | 2.406 | 13.4 |
| 38.1 | 2.363 | 13.8 |
| 40.1 | 2.247 | 26.8 |
| 45.6 | 1.988 | 15.1 |
| 51.5 | 1.775 | 12.1 |